Structure and simulated powder diffraction line list of BaTh3N4 (a crystal structure in Alexandria, relaxed with GGA-PBE; Cu Kα).
Peak positions follow from Bragg's law for the DFT cell and can differ from measured ones.

Main lines, in order of rising 2θ (10° ≤ 2θ ≤ 90°):
| h k l | d_spacing | 2theta | intensity |
| --- | --- | --- | --- |
| 0 0 8 | 3.116 | 28.65 | 100 |
| 1 0 3 | 3.004 | 29.74 | 88 |
| 1 0 4 | 2.862 | 31.26 | 68 |
| 1 0 5 | 2.705 | 33.11 | 60 |
| 1 0 6 | 2.545 | 35.26 | 50 |
| 1 1 0 | 1.860 | 48.97 | 54 |
| 1 1 8 | 1.597 | 57.73 | 60 |
| 1 1 16 | 1.194 | 80.40 | 37 |

Structural model:
Unit cell a=3.7200 b=3.7200 c=24.9159 alpha=90.00 beta=90.00 gamma=120.00
Space group P6_3/mmc (No. 194)
Asymmetric unit:
Ba 0.3333 0.6667 0.2500
Th 0.0000 0.0000 0.0000
Th 0.3333 0.6667 0.6204
N 0.0000 0.0000 0.1681
N 0.3333 0.6667 0.0596

---

Structure and simulated powder diffraction line list of ScTe2AuN (a crystal structure in Alexandria, relaxed with GGA-PBE; Cu Kα).
Peak positions follow from Bragg's law for the DFT cell and can differ from measured ones.

Main lines, in order of rising 2θ (10° ≤ 2θ ≤ 90°):
| h k l | d_spacing | 2theta | intensity |
| --- | --- | --- | --- |
| 1 0 0 | 5.682 | 15.60 | 28 |
| 1 0 1 | 3.198 | 27.90 | 44 |
| 2 0 0 | 2.841 | 31.49 | 78 |
| 1 1 1 | 2.787 | 32.12 | 100 |
| 2 1 1 | 2.124 | 42.57 | 29 |
| 2 2 0 | 2.009 | 45.14 | 29 |
| 3 1 1 | 1.630 | 56.47 | 40 |
| 2 0 2 | 1.599 | 57.65 | 27 |

Structural model:
Unit cell a=5.6815 b=5.6815 c=3.8694 alpha=90.00 beta=90.00 gamma=90.00
Space group P4/mmm (No. 123)
Asymmetric unit:
Sc 0.0000 0.0000 0.0000
Te 0.0000 0.5000 0.0000
Au 0.5000 0.5000 0.5000
N 0.0000 0.0000 0.5000

---

- Number 1 is which compound?
  BaTh3N4